Simulated PXRD pattern
Compound: CaTiBeN3
Radiation: Cu Kα, 1.54184 Å
Structure: the GGA-PBE geometry in Alexandria

Cell and atoms:
```
CaTiBeN3
1.0
6.635 0.000 0.000
0.000 3.073 0.000
-1.795 0.000 6.578
Ca Ti Be N
2 2 2 6
Cartesian
0.870 0.768 1.486 Ca
3.969 2.305 5.092 Ca
0.724 2.305 5.546 Ti
4.115 0.768 1.031 Ti
-0.479 0.768 3.928 Be
5.318 2.305 2.650 Be
-0.675 0.768 5.624 N
0.217 2.305 3.493 N
2.720 2.305 1.015 N
2.120 0.768 5.562 N
4.623 0.768 3.085 N
5.514 2.305 0.954 N
```

Largest 10 diffraction maxima, in order of rising 2θ, 2θ = 10–90°:
- 2θ = 13.46°, intensity 68
- 2θ = 16.59°, intensity 43
- 2θ = 27.10°, intensity 43
- 2θ = 27.88°, intensity 30
- 2θ = 32.15°, intensity 59
- 2θ = 33.54°, intensity 32
- 2θ = 40.50°, intensity 100
- 2θ = 40.70°, intensity 64
- 2θ = 41.17°, intensity 41
- 2θ = 53.93°, intensity 27

Simulated PXRD pattern
Compound: NaMnGaCl2
Radiation: Cu Kα, 1.54184 Å
Structure: the GGA-PBE geometry in Alexandria

Cell and atoms:
```
NaMnGaCl2
1.0
4.995 0.000 0.000
0.000 4.995 0.000
0.000 0.000 5.504
Na Mn Ga Cl
1 1 1 2
Cartesian
0.000 0.000 0.000 Na
0.000 0.000 2.752 Mn
2.498 2.498 2.752 Ga
0.000 2.498 0.000 Cl
2.498 0.000 0.000 Cl
```

Largest 10 diffraction maxima, in order of rising 2θ, 2θ = 10–90°:
- 2θ = 25.21°, intensity 16
- 2θ = 30.06°, intensity 100
- 2θ = 32.53°, intensity 33
- 2θ = 35.96°, intensity 49
- 2θ = 49.27°, intensity 37
- 2θ = 51.76°, intensity 16
- 2θ = 56.52°, intensity 15
- 2θ = 61.03°, intensity 23
- 2θ = 62.49°, intensity 17
- 2θ = 80.18°, intensity 10

Simulated PXRD pattern
Compound: EuThCdIr
Radiation: Cu Kα, 1.54184 Å
Structure: the GGA-PBE geometry in Alexandria

Cell and atoms:
```
EuThCdIr
1.0
7.361 0.000 0.000
0.000 7.361 0.000
0.000 0.000 7.361
Eu Th Cd Ir
4 4 4 4
Cartesian
0.000 0.000 0.000 Eu
0.000 3.681 3.681 Eu
3.681 0.000 3.681 Eu
3.681 3.681 0.000 Eu
0.000 0.000 3.681 Th
0.000 3.681 0.000 Th
3.681 0.000 0.000 Th
3.681 3.681 3.681 Th
1.840 1.840 1.840 Cd
1.840 5.521 5.521 Cd
5.521 1.840 5.521 Cd
5.521 5.521 1.840 Cd
1.840 1.840 5.521 Ir
1.840 5.521 1.840 Ir
5.521 1.840 1.840 Ir
5.521 5.521 5.521 Ir
```

Largest 10 diffraction maxima, in order of rising 2θ, 2θ = 10–90°:
- 2θ = 20.90°, intensity 5
- 2θ = 24.18°, intensity 1
- 2θ = 34.46°, intensity 100
- 2θ = 40.65°, intensity 3
- 2θ = 49.53°, intensity 18
- 2θ = 54.32°, intensity 1
- 2θ = 61.73°, intensity 37
- 2θ = 72.66°, intensity 12
- 2θ = 76.57°, intensity 1
- 2θ = 82.96°, intensity 17